FeF4: simulated powder diffractogram (Cu Ka), based on a structure optimized by DFT (GGA+U).

Cell and atoms:
Cell: 5.300 5.300 10.374 Å, 90.00 90.00 90.00°
Space group I4/mcm (No. 140)
Symmetry-distinct sites (fractional):
Fe (0.000, 0.500, 0.000) (multiplicity 4)
F (0.173, 0.327, 0.117) (multiplicity 16)

Main lines, low angle first (2θ = 15–90°):
2theta	I_rel
17.09	85.6
23.74	100.0
29.40	71.7
38.14	27.8
38.98	31.1
48.59	15.1
49.15	42.5
51.88	13.6
57.82	15.6
66.41	25.4